1.
Theoretical powder XRD pattern of Cd6AgHg4 for Cu Kα (λ = 1.5418 Å), from a crystal structure in Alexandria, relaxed with PBE.
Neutral-atom scattering factors, no anomalous dispersion.

Largest 10 diffraction maxima, low angle first, 2θ from 10° to 90°:
25.36 deg, intensity 357
29.73 deg, intensity 172
33.78 deg, intensity 875
34.27 deg, intensity 181
35.66 deg, intensity 357
36.81 deg, intensity 1000
38.13 deg, intensity 392
39.85 deg, intensity 331
40.06 deg, intensity 174
44.82 deg, intensity 185

Cell lengths 6.100, 6.100, 7.796 Å; angles 108.25, 108.25, 83.07 degrees
Element x y z (fractional)
Cd 0.000 0.000 0.000
Cd 0.163 0.595 0.680
Cd 0.234 0.824 0.357
Cd 0.462 0.462 0.037
Cd 0.595 0.163 0.680
Cd 0.824 0.234 0.357
Ag 0.115 0.115 0.700
Hg 0.320 0.320 0.340
Hg 0.514 0.928 0.976
Hg 0.752 0.752 0.408
Hg 0.928 0.514 0.976

***

2.
Theoretical powder XRD pattern of Pa3B4Os2 for Cu Kα (λ = 1.5418 Å), from a crystal structure in Alexandria, relaxed with PBE.
Neutral-atom scattering factors, no anomalous dispersion.

Largest 10 diffraction maxima, low angle first, 2θ from 10° to 90°:
16.14 deg, intensity 439
26.67 deg, intensity 577
34.12 deg, intensity 231
36.45 deg, intensity 1000
37.22 deg, intensity 193
41.22 deg, intensity 252
44.19 deg, intensity 220
44.79 deg, intensity 298
55.38 deg, intensity 253
70.64 deg, intensity 202

Cell lengths 7.039, 7.039, 7.039 Å; angles 153.60, 108.77, 77.44 degrees
Element x y z (fractional)
Pa 0.000 0.000 0.000
Pa 0.351 0.851 0.500
Pa 0.649 0.149 0.500
B 0.042 0.281 0.760
B 0.479 0.719 0.760
B 0.521 0.281 0.240
B 0.958 0.719 0.240
Os 0.262 0.500 0.762
Os 0.738 0.500 0.238

***

3.
Theoretical powder XRD pattern of Tb2PmOsC2 for Cu Kα (λ = 1.5418 Å), from a crystal structure in Alexandria, relaxed with PBE.
Neutral-atom scattering factors, no anomalous dispersion.

Largest 10 diffraction maxima, low angle first, 2θ from 10° to 90°:
17.58 deg, intensity 97
31.59 deg, intensity 272
32.23 deg, intensity 141
32.63 deg, intensity 1000
33.79 deg, intensity 88
45.75 deg, intensity 122
47.87 deg, intensity 107
56.92 deg, intensity 193
58.50 deg, intensity 97
79.42 deg, intensity 89

Cell lengths 5.664, 11.111, 3.800 Å; angles 90.00, 90.00, 90.00 degrees
Element x y z (fractional)
Tb 0.034 0.205 0.000
Tb 0.466 0.705 0.500
Tb 0.534 0.295 0.500
Tb 0.966 0.795 0.000
Pm 0.000 0.500 0.500
Pm 0.500 0.000 0.000
Os 0.000 0.000 0.500
Os 0.500 0.500 0.000
C 0.242 0.621 0.000
C 0.258 0.121 0.500
C 0.742 0.879 0.500
C 0.758 0.379 0.000

***

4.
Theoretical powder XRD pattern of Ho2Al9Cu3 for Cu Kα (λ = 1.5418 Å), from a crystal structure in Alexandria, relaxed with PBE.
Neutral-atom scattering factors, no anomalous dispersion.

Largest 10 diffraction maxima, low angle first, 2θ from 10° to 90°:
25.25 deg, intensity 448
25.47 deg, intensity 876
30.19 deg, intensity 788
36.45 deg, intensity 645
36.77 deg, intensity 598
36.88 deg, intensity 617
37.16 deg, intensity 683
41.38 deg, intensity 507
41.67 deg, intensity 1000
56.85 deg, intensity 446

Cell lengths 7.543, 7.543, 10.669 Å; angles 111.42, 111.42, 59.54 degrees
Element x y z (fractional)
Ho 0.086 0.251 0.249
Ho 0.251 0.086 0.749
Ho 0.749 0.914 0.251
Ho 0.914 0.749 0.751
Al 0.022 0.857 0.069
Al 0.143 0.978 0.431
Al 0.190 0.357 0.567
Al 0.210 0.583 0.251
Al 0.314 0.482 0.943
Al 0.357 0.190 0.067
Al 0.369 0.631 0.750
Al 0.417 0.790 0.249
Al 0.482 0.314 0.443
Al 0.518 0.686 0.557
Al 0.583 0.210 0.751
Al 0.631 0.369 0.250
Al 0.643 0.810 0.933
Al 0.686 0.518 0.057
Al 0.790 0.417 0.749
Al 0.810 0.643 0.433
Al 0.857 0.022 0.569
Al 0.978 0.143 0.931
Cu 0.000 0.500 0.000
Cu 0.159 0.670 0.498
Cu 0.330 0.841 0.002
Cu 0.500 0.000 0.500
Cu 0.670 0.159 0.998
Cu 0.841 0.330 0.502

***

Please write out number 3 again, unchanged.
Theoretical powder XRD pattern of Tb2PmOsC2 for Cu Kα (λ = 1.5418 Å), from a crystal structure in Alexandria, relaxed with PBE.
Neutral-atom scattering factors, no anomalous dispersion.

Largest 10 diffraction maxima, low angle first, 2θ from 10° to 90°:
17.58 deg, intensity 97
31.59 deg, intensity 272
32.23 deg, intensity 141
32.63 deg, intensity 1000
33.79 deg, intensity 88
45.75 deg, intensity 122
47.87 deg, intensity 107
56.92 deg, intensity 193
58.50 deg, intensity 97
79.42 deg, intensity 89

Cell lengths 5.664, 11.111, 3.800 Å; angles 90.00, 90.00, 90.00 degrees
Element x y z (fractional)
Tb 0.034 0.205 0.000
Tb 0.466 0.705 0.500
Tb 0.534 0.295 0.500
Tb 0.966 0.795 0.000
Pm 0.000 0.500 0.500
Pm 0.500 0.000 0.000
Os 0.000 0.000 0.500
Os 0.500 0.500 0.000
C 0.242 0.621 0.000
C 0.258 0.121 0.500
C 0.742 0.879 0.500
C 0.758 0.379 0.000

***

Question: What is the formula in the second record?
Answer: Pa3B4Os2